Theoretical powder XRD pattern
Compound: ErFe2
Radiation: Cu Kα, 1.54184 Å
Structure: a PBE-relaxed structure
Peak positions follow from Bragg's law for the DFT cell and can differ from measured ones.

Structure:
```
ErFe2
1.0
0.0000 3.6085 3.6085
3.6085 0.0000 3.6085
3.6085 3.6085 0.0000
Er Fe
2 4
Direct
0.1250 0.1250 0.1250
0.8750 0.8750 0.8750
0.0000 0.5000 0.5000
0.5000 0.0000 0.5000
0.5000 0.5000 0.0000
0.5000 0.5000 0.5000
```

Peak list (8 most intense, 5° ≤ 2θ ≤ 70°, in order of rising 2θ)
- 2θ = 21.32°, intensity 19
- 2θ = 35.17°, intensity 70
- 2θ = 41.50°, intensity 100
- 2θ = 43.44°, intensity 13
- 2θ = 50.59°, intensity 1
- 2θ = 55.50°, intensity 5
- 2θ = 63.11°, intensity 26
- 2θ = 67.43°, intensity 30

---

Theoretical powder XRD pattern
Compound: ErGa6Fe6
Radiation: Cu Kα, 1.54184 Å
Structure: a PBE-relaxed structure
Peak positions follow from Bragg's law for the DFT cell and can differ from measured ones.

Structure:
```
ErGa6Fe6
1.0
-2.5131 4.2446 4.3270
2.5131 -4.2446 4.3270
2.5131 4.2446 -4.3270
Er Ga Fe
1 6 6
Direct
0.0000 0.0000 0.0000
0.1796 0.6796 0.5000
0.3335 0.0000 0.3335
0.3432 0.3432 0.0000
0.6568 0.6568 0.0000
0.6665 0.0000 0.6665
0.8204 0.3204 0.5000
0.0000 0.0000 0.5000
0.0000 0.5000 0.0000
0.2438 0.5000 0.7438
0.5000 0.0000 0.0000
0.5000 0.5000 0.5000
0.7562 0.5000 0.2562
```

Peak list (10 most intense, 5° ≤ 2θ ≤ 70°, in order of rising 2θ)
- 2θ = 33.31°, intensity 30
- 2θ = 35.73°, intensity 38
- 2θ = 35.89°, intensity 73
- 2θ = 36.44°, intensity 32
- 2θ = 41.56°, intensity 55
- 2θ = 41.76°, intensity 81
- 2θ = 41.92°, intensity 100
- 2θ = 42.18°, intensity 52
- 2θ = 42.60°, intensity 52
- 2θ = 46.97°, intensity 47

---

Theoretical powder XRD pattern
Compound: Er2Ga8Fe
Radiation: Cu Kα, 1.54184 Å
Structure: a PBE-relaxed structure
Peak positions follow from Bragg's law for the DFT cell and can differ from measured ones.

Structure:
```
Er2Ga8Fe
1.0
4.2463 0.0000 0.0000
0.0000 4.2463 0.0000
0.0000 0.0000 11.0432
Er Ga Fe
2 8 1
Direct
0.0000 0.0000 0.1959
0.0000 0.0000 0.8041
0.0000 0.5000 0.0000
0.0000 0.5000 0.3849
0.0000 0.5000 0.6151
0.5000 0.0000 0.0000
0.5000 0.0000 0.3849
0.5000 0.0000 0.6151
0.5000 0.5000 0.1991
0.5000 0.5000 0.8009
0.0000 0.0000 0.5000
```

Peak list (10 most intense, 5° ≤ 2θ ≤ 70°, in order of rising 2θ)
- 2θ = 20.92°, intensity 24
- 2θ = 30.86°, intensity 9
- 2θ = 32.18°, intensity 13
- 2θ = 33.99°, intensity 59
- 2θ = 38.70°, intensity 100
- 2θ = 40.86°, intensity 24
- 2θ = 42.58°, intensity 61
- 2θ = 44.59°, intensity 10
- 2θ = 60.49°, intensity 30
- 2θ = 61.80°, intensity 20